Entry 1:
The following is a calculated PXRD pattern of In6Pd2Rh. It was derived from a cell relaxed with GGA-PBE, using Cu Kα.
Peak positions follow from Bragg's law for the DFT cell and can differ from measured ones.

Top 6 peaks for 5° ≤ 2θ ≤ 70°, in order of rising 2θ:
2θ (°)	I (rel.)	(hkl)
23.9	37	1 0 1
24.1	14	0 0 3
27.7	35	0 1 2
39.5	100	1 1 0
39.8	97	1 0 4
57.3	32	0 2 4

Crystal structure
```
9
Lattice="4.564 0.000 0.000 -2.282 3.952 0.000 0.000 0.000 11.056" Properties=species:S:1:pos:R:3 pbc="T T T"
In 0.000 0.000 2.732
In 0.000 0.000 8.324
In 0.000 2.635 4.589
In 0.000 2.635 10.190
In 2.282 1.317 0.865
In 2.282 1.317 6.467
Pd 0.000 2.635 7.379
Pd 2.282 1.317 3.677
Rh 0.000 0.000 0.000
```

Entry 2:
The following is a calculated PXRD pattern of Sr2In5Pd2Rh. It was derived from a cell relaxed with GGA-PBE, using Cu Kα.
Peak positions follow from Bragg's law for the DFT cell and can differ from measured ones.

Top 6 peaks for 5° ≤ 2θ ≤ 70°, in order of rising 2θ:
2θ (°)	I (rel.)	(hkl)
32.6	19	2 2 1
33.7	30	4 1 0
34.7	100	3 1 1
37.6	33	3 2 1
46.9	23	0 0 2
58.9	16	4 1 2

Crystal structure
```
20
Lattice="10.973 0.000 0.000 0.000 10.973 0.000 0.000 0.000 3.878" Properties=species:S:1:pos:R:3 pbc="T T T"
Sr 1.996 3.491 0.000
Sr 3.491 8.978 0.000
Sr 7.482 1.996 0.000
Sr 8.978 7.482 0.000
In 0.000 5.487 1.939
In 0.571 8.878 1.939
In 2.095 0.571 1.939
In 3.392 6.058 1.939
In 4.916 3.392 1.939
In 5.487 0.000 1.939
In 6.058 7.582 1.939
In 7.582 4.916 1.939
In 8.878 10.402 1.939
In 10.402 2.095 1.939
Pd 1.352 6.838 0.000
Pd 4.135 1.352 0.000
Pd 6.838 9.622 0.000
Pd 9.622 4.135 0.000
Rh 0.000 0.000 0.000
Rh 5.487 5.487 0.000
```

Entry 3:
The following is a calculated PXRD pattern of ThInPdRu. It was derived from a cell relaxed with GGA-PBE, using Cu Kα.
Peak positions follow from Bragg's law for the DFT cell and can differ from measured ones.

Top 6 peaks for 5° ≤ 2θ ≤ 70°, in order of rising 2θ:
2θ (°)	I (rel.)	(hkl)
35.1	28	0 0 2
36.5	100	1 1 1
41.4	18	0 2 0
55.4	15	0 2 2
62.4	10	2 0 2
63.9	19	1 1 3

Crystal structure
```
4
Lattice="3.663 0.000 0.000 0.000 4.363 0.000 0.000 0.000 5.113" Properties=species:S:1:pos:R:3 pbc="T T T"
Th 0.000 0.000 0.000
In 0.000 2.182 2.556
Pd 1.832 0.000 2.556
Ru 1.832 2.182 0.000
```

Entry 4:
The following is a calculated PXRD pattern of InSbPd14. It was derived from a cell relaxed with GGA-PBE, using Cu Kα.
Peak positions follow from Bragg's law for the DFT cell and can differ from measured ones.

Top 5 peaks for 5° ≤ 2θ ≤ 70°, in order of rising 2θ:
2θ (°)	I (rel.)	(hkl)
39.1	100	2 0 2
44.5	34	2 2 0
47.2	14	0 0 4
64.8	11	4 0 0
66.9	20	2 2 4

Crystal structure
```
16
Lattice="5.753 0.000 0.000 0.000 5.753 0.000 0.000 0.000 7.702" Properties=species:S:1:pos:R:3 pbc="T T T"
In 0.000 0.000 0.000
Sb 2.877 2.877 0.000
Pd 0.000 0.000 3.851
Pd 0.000 2.877 0.000
Pd 0.000 2.877 3.851
Pd 1.446 1.446 1.930
Pd 1.446 1.446 5.771
Pd 1.446 4.308 1.930
Pd 1.446 4.308 5.771
Pd 2.877 0.000 0.000
Pd 2.877 0.000 3.851
Pd 2.877 2.877 3.851
Pd 4.308 1.446 1.930
Pd 4.308 1.446 5.771
Pd 4.308 4.308 1.930
Pd 4.308 4.308 5.771
```